This entry pairs a crystal structure of K3AcLa2S6 with its computed X-ray powder pattern. Radiation: λ = 1.5418 Å (Cu Kα). Structure: a crystal structure in Alexandria, relaxed with PBE.

Principal peaks in the range 2θ = 15–90°, by angle:
d/Å  2theta  intensity  index
3.709  24.0  29  1 3 0
3.562  25.0  37  2 0 0
3.111  28.7  100  1 3 1
2.421  37.1  18  1 3 2
2.229  40.5  35  2 0 2
2.172  41.6  36  0 6 0
2.084  43.4  18  3 3 0
1.872  48.6  19  3 3 1
1.781  51.3  19  4 0 0
1.377  68.1  15  4 6 0

Structure:
```
data_K3AcLa2S6
_cell_length_a 7.5239
_cell_length_b 13.0319
_cell_length_c 7.7944
_cell_angle_alpha 90.00
_cell_angle_beta 108.77
_cell_angle_gamma 90.00
_space_group_name_H-M_alt 'C 1 2/m 1'
_space_group_IT_number 12
_space_group_name_Hall '-C 2y'
loop_
_atom_site_label
_atom_site_type_symbol
_atom_site_fract_x
_atom_site_fract_y
_atom_site_fract_z
_atom_site_occupancy
K1 K 0.0000 0.0000 0.0000 1
K2 K 0.0000 0.3331 0.0000 1
Ac1 Ac 0.0000 0.5000 0.5000 1
La1 La 0.0000 0.1667 0.5000 1
S1 S 0.2293 0.0000 0.7100 1
S2 S 0.2401 0.3297 0.7093 1
```